# 1
Starting from a structure optimized by DFT (GGA+U), the powder X-ray diffraction pattern of LiMn2P4O14 was simulated for CuKα.

Top 6 peaks for 10 to 80 degrees two-theta, by angle:
d [Å]	I (rel.)	hkl
8.580	78	0 0 1
4.406	27	0 1 1
3.835	42	1 -1 1
3.681	100	1 0 -2
2.960	48	0 2 0
2.891	54	1 0 2

Crystal structure
a b c (Å): 5.1316 6.2520 8.9935
angles (deg): 100.74 100.79 102.87
Positions (direct):
Li  0.0000  0.0000  0.0000
Mn  0.4381  0.4214  0.3287
Mn  0.8854  0.8907  0.6000
P  0.0403  0.4206  0.5882
P  0.2888  0.8891  0.3387
P  0.4222  0.8130  0.8175
P  0.8973  0.4922  0.1011
O  0.0787  0.7571  0.1739
O  0.0955  0.3421  0.1196
O  0.1309  0.9153  0.4635
O  0.1777  0.3903  0.4527
O  0.1893  0.9315  0.8181
O  0.2665  0.5455  0.7454
O  0.4386  0.1089  0.3062
O  0.5004  0.7509  0.3720
O  0.5961  0.8371  0.9791
O  0.5957  0.8848  0.7055
O  0.6780  0.4455  0.1908
O  0.7923  0.4809  0.9294
O  0.8269  0.5600  0.5575
O  0.8871  0.2004  0.6163


# 2
Starting from a structure optimized by DFT (GGA+U), the powder X-ray diffraction pattern of LiMnP2O7 was simulated for CuKα.

Top 6 peaks for 10 to 80 degrees two-theta, by angle:
d [Å]	I (rel.)	hkl
5.817	62	1 0 0
5.704	52	0 2 0
4.408	100	0 2 1
3.727	68	1 1 -2
3.242	86	1 2 -2
3.185	62	1 3 0

Crystal structure
a b c (Å): 6.6576 11.4075 7.9490
angles (deg): 90.00 119.10 90.00
Positions (direct):
Li  0.2350  0.0893  0.2614
Li  0.2350  0.4107  0.7614
Li  0.7650  0.5893  0.2386
Li  0.7650  0.9107  0.7386
Mn  0.0514  0.7087  0.0989
Mn  0.0514  0.7913  0.5989
Mn  0.9486  0.2087  0.4011
Mn  0.9486  0.2913  0.9011
P  0.1310  0.0868  0.8097
P  0.1310  0.4132  0.3097
P  0.4880  0.1490  0.7104
P  0.4880  0.3510  0.2104
P  0.5120  0.6490  0.7896
P  0.5120  0.8510  0.2896
P  0.8690  0.5868  0.6903
P  0.8690  0.9132  0.1903
O  0.0183  0.6869  0.8364
O  0.0183  0.8131  0.3364
O  0.0756  0.5379  0.2371
O  0.0756  0.9621  0.7371
O  0.1081  0.1173  0.9861
O  0.1081  0.3827  0.4861
O  0.2725  0.1658  0.5084
O  0.2725  0.3342  0.0084
O  0.3678  0.5529  0.7969
O  0.3678  0.9471  0.2969
O  0.3804  0.7338  0.2115
O  0.3804  0.7662  0.7115
O  0.3914  0.1164  0.8568
O  0.3914  0.3836  0.3568
O  0.6086  0.6164  0.6432
O  0.6086  0.8836  0.1432
O  0.6196  0.2338  0.2885
O  0.6196  0.2662  0.7885
O  0.6322  0.0529  0.7031
O  0.6322  0.4471  0.2031
O  0.7275  0.6658  0.9916
O  0.7275  0.8342  0.4916
O  0.8919  0.6173  0.5139
O  0.8919  0.8827  0.0139
O  0.9244  0.0379  0.2629
O  0.9244  0.4621  0.7629
O  0.9817  0.1869  0.6636
O  0.9817  0.3131  0.1636


# 3
Starting from a structure optimized by DFT (GGA+U), the powder X-ray diffraction pattern of LiMnP2O7 was simulated for CuKα.

Top 6 peaks for 10 to 80 degrees two-theta, by angle:
d [Å]	I (rel.)	hkl
5.516	100	1 1 0
5.308	19	1 1 -1
3.937	80	0 0 2
2.937	28	1 3 0
2.880	31	2 2 -1
2.304	19	3 1 -1

Crystal structure
a b c (Å): 7.1333 9.8124 8.4211
angles (deg): 90.00 110.78 90.00
Positions (direct):
Li  0.1065  0.1535  0.0401
Li  0.1065  0.3465  0.5401
Li  0.8935  0.6535  0.4599
Li  0.8935  0.8465  0.9599
Mn  0.2288  0.6030  0.2530
Mn  0.2288  0.8970  0.7530
Mn  0.7712  0.1030  0.2470
Mn  0.7712  0.3970  0.7470
P  0.1361  0.5944  0.8154
P  0.1361  0.9056  0.3154
P  0.4620  0.6427  0.7057
P  0.4620  0.8573  0.2057
P  0.5380  0.1427  0.7943
P  0.5380  0.3573  0.2943
P  0.8639  0.0944  0.6846
P  0.8639  0.4056  0.1846
O  0.0130  0.0225  0.2012
O  0.0130  0.4775  0.7012
O  0.0677  0.7268  0.7075
O  0.0677  0.7732  0.2075
O  0.1188  0.6059  0.9854
O  0.1188  0.8941  0.4854
O  0.3255  0.0829  0.7427
O  0.3255  0.4171  0.2427
O  0.3283  0.6115  0.5261
O  0.3283  0.8885  0.0261
O  0.3641  0.5666  0.8318
O  0.3641  0.9334  0.3318
O  0.4798  0.7057  0.2604
O  0.4798  0.7943  0.7604
O  0.5202  0.2057  0.2396
O  0.5202  0.2943  0.7396
O  0.6359  0.0666  0.6682
O  0.6359  0.4334  0.1682
O  0.6717  0.1115  0.9739
O  0.6717  0.3885  0.4739
O  0.6745  0.5829  0.7573
O  0.6745  0.9171  0.2573
O  0.8812  0.1059  0.5146
O  0.8812  0.3941  0.0146
O  0.9323  0.2268  0.7925
O  0.9323  0.2732  0.2925
O  0.9870  0.5225  0.2988
O  0.9870  0.9775  0.7988